Entry 1:
For Dy2TmS3, a crystal structure in OQMD, relaxed with GGA-PBE gives the simulated XRD peak list in this record (Cu Kα (weighted mean of Kα1 and Kα2)).
Peak positions follow from Bragg's law for the DFT cell and can differ from measured ones.

Atomic structure:
Cell lengths 3.8755, 3.8755, 9.5122 Å; angles 90.00, 90.00, 120.00 degrees
Fractional positions:
Dy1 0.3333 0.6667 0.1672
Dy2 0.6667 0.3333 0.8328
Tm1 0.0000 0.0000 0.5000
S1 0.0000 0.0000 0.0000
S2 0.3333 0.6667 0.6619
S3 0.6667 0.3333 0.3381

Main lines, in order of rising 2θ (5° ≤ 2θ ≤ 70°):
Position (°2θ)  I_rel
28.2  84
32.7  100
46.9  72
55.6  41
58.3  19
68.4  11

***

Entry 2:
For Dy3Y2S7, a crystal structure in OQMD, relaxed with GGA-PBE gives the simulated XRD peak list in this record (Cu Kα (weighted mean of Kα1 and Kα2)).
Peak positions follow from Bragg's law for the DFT cell and can differ from measured ones.

Atomic structure:
Cell lengths 6.6986, 6.6986, 11.6024 Å; angles 104.02, 104.02, 33.01 degrees
Fractional positions:
Dy1 0.0000 0.0000 0.0000
Dy2 0.3004 0.3004 0.1880
Dy3 0.6996 0.6996 0.8120
Y1 0.1121 0.1121 0.4214
Y2 0.8879 0.8879 0.5786
S1 0.0414 0.0414 0.7851
S2 0.2592 0.2592 0.6479
S3 0.3406 0.3406 0.9486
S4 0.5000 0.5000 0.5000
S5 0.6594 0.6594 0.0514
S6 0.7408 0.7408 0.3521
S7 0.9586 0.9586 0.2149

Main lines, in order of rising 2θ (5° ≤ 2θ ≤ 70°):
Position (°2θ)  I_rel
23.9  95
24.5  100
31.5  50
31.9  46
33.2  46
34.3  59

***

Entry 3:
For DySb, a crystal structure in OQMD, relaxed with GGA-PBE gives the simulated XRD peak list in this record (Cu Kα (weighted mean of Kα1 and Kα2)).
Peak positions follow from Bragg's law for the DFT cell and can differ from measured ones.

Atomic structure:
Cell lengths 4.3795, 4.3795, 4.3795 Å; angles 60.00, 60.00, 60.00 degrees
Fractional positions:
Dy1 0.0000 0.0000 0.0000
Sb1 0.5000 0.5000 0.5000

Main lines, in order of rising 2θ (5° ≤ 2θ ≤ 70°):
Position (°2θ)  I_rel
24.9  4
28.8  100
41.2  76
51.1  27
59.7  13
67.6  35